This entry pairs a crystal structure of DyYBiS2 with its calculated X-ray powder pattern. Radiation: a wavelength of 1.5418 Å. Structure: a cell relaxed with GGA-PBE.

Structural model:
```
5
Lattice="-2.256 2.256 6.879 2.256 -2.256 6.879 2.256 2.256 -6.879" Properties=species:S:1:pos:R:3 pbc="T T T"
Dy 0.000 0.000 0.000
Y 0.000 0.000 4.039
Bi 0.000 0.000 8.897
S 2.256 0.000 5.467
S 0.000 2.256 5.467
```

The 10 most intense peaks (2θ = 10–80°), sorted by position:
2θ 27.7, d 3.216, rel. 100
2θ 28.0, d 3.190, rel. 38
2θ 30.9, d 2.894, rel. 18
2θ 38.3, d 2.349, rel. 13
2θ 40.0, d 2.256, rel. 27
2θ 48.9, d 1.862, rel. 23
2θ 49.4, d 1.847, rel. 42
2θ 65.3, d 1.429, rel. 9
2θ 79.1, d 1.211, rel. 11
2θ 79.4, d 1.207, rel. 11

=====

This entry pairs a crystal structure of Sm7Er with its calculated X-ray powder pattern. Radiation: a wavelength of 1.5418 Å. Structure: a cell relaxed with GGA-PBE.

Structural model:
```
8
Lattice="0.000 5.103 5.103 5.103 0.000 5.103 5.103 5.103 0.000" Properties=species:S:1:pos:R:3 pbc="T T T"
Sm 0.000 0.000 0.000
Sm 2.551 2.551 0.000
Sm 2.551 0.000 2.551
Sm 5.103 2.551 2.551
Sm 0.000 2.551 2.551
Sm 2.551 5.103 2.551
Sm 2.551 2.551 5.103
Er 5.103 5.103 5.103
```

The 6 most intense peaks (2θ = 10–80°), sorted by position:
2θ 30.3, d 2.946, rel. 100
2θ 35.2, d 2.551, rel. 51
2θ 50.6, d 1.804, rel. 36
2θ 60.1, d 1.539, rel. 43
2θ 63.1, d 1.473, rel. 12
2θ 74.4, d 1.276, rel. 6